Entry 1:
The following is a simulated PXRD pattern of Li3TbMg9. It was derived from the PBE geometry in Alexandria, using a wavelength of 1.5418 Å.
Kinematic intensities with the Lorentz-polarization factor, no thermal factor.

Structure:
Unit cell a=7.790 b=7.790 c=7.740 alpha=96.97 beta=96.97 gamma=138.64
Element x y z (fractional)
Li 0.000 0.000 0.000
Li 0.000 0.500 0.500
Li 0.500 0.000 0.500
Tb 0.500 0.500 0.500
Mg 0.009 0.794 0.291
Mg 0.150 0.504 0.152
Mg 0.206 0.991 0.709
Mg 0.496 0.850 0.848
Mg 0.500 0.500 0.000
Mg 0.504 0.150 0.152
Mg 0.794 0.009 0.291
Mg 0.850 0.496 0.848
Mg 0.991 0.206 0.709

Peak list (6 most intense, 2θ from 10° to 90°, most intense first)
2θ 12.2, rel. 100; 2θ 35.3, rel. 95; 2θ 17.2, rel. 81; 2θ 25.1, rel. 57; 2θ 30.8, rel. 54; 2θ 34.9, rel. 53

Entry 2:
The following is a simulated PXRD pattern of AcHoO4. It was derived from the PBE geometry in Alexandria, using a wavelength of 1.5418 Å.
Kinematic intensities with the Lorentz-polarization factor, no thermal factor.

Structure:
Unit cell a=6.837 b=4.059 c=6.574 alpha=90.00 beta=97.59 gamma=90.00
Element x y z (fractional)
Ac 0.000 0.000 0.000
Ac 0.500 0.500 0.000
Ho 0.108 0.500 0.537
Ho 0.608 0.000 0.537
O 0.146 0.500 0.882
O 0.215 0.000 0.358
O 0.377 0.000 0.220
O 0.448 0.500 0.605
O 0.646 0.000 0.882
O 0.715 0.500 0.358
O 0.877 0.500 0.220
O 0.948 0.000 0.605

Peak list (6 most intense, 2θ from 10° to 90°, most intense first)
2θ 28.2, rel. 100; 2θ 27.4, rel. 46; 2θ 29.9, rel. 44; 2θ 26.3, rel. 34; 2θ 47.8, rel. 28; 2θ 46.0, rel. 23

Entry 3:
The following is a simulated PXRD pattern of La16Dy6Tm7. It was derived from the PBE geometry in Alexandria, using a wavelength of 1.5418 Å.
Kinematic intensities with the Lorentz-polarization factor, no thermal factor.

Structure:
Unit cell a=11.436 b=11.436 c=11.436 alpha=60.00 beta=60.00 gamma=60.00
Element x y z (fractional)
La 0.058 0.647 0.647
La 0.125 0.125 0.125
La 0.125 0.125 0.624
La 0.125 0.624 0.125
La 0.353 0.353 0.353
La 0.353 0.353 0.942
La 0.353 0.942 0.353
La 0.376 0.875 0.875
La 0.624 0.125 0.125
La 0.647 0.058 0.647
La 0.647 0.647 0.058
La 0.647 0.647 0.647
La 0.875 0.376 0.875
La 0.875 0.875 0.376
La 0.875 0.875 0.875
La 0.942 0.353 0.353
Dy 0.259 0.259 0.741
Dy 0.259 0.741 0.259
Dy 0.259 0.741 0.741
Dy 0.741 0.259 0.259
Dy 0.741 0.259 0.741
Dy 0.741 0.741 0.259
Tm 0.000 0.000 0.000
Tm 0.000 0.000 0.500
Tm 0.000 0.500 0.000
Tm 0.000 0.500 0.500
Tm 0.500 0.000 0.000
Tm 0.500 0.000 0.500
Tm 0.500 0.500 0.000

Peak list (6 most intense, 2θ from 10° to 90°, most intense first)
2θ 31.3, rel. 100; 2θ 55.7, rel. 30; 2θ 44.8, rel. 16; 2θ 74.2, rel. 10; 2θ 65.3, rel. 9; 2θ 27.0, rel. 6

Entry 4:
The following is a simulated PXRD pattern of SrCa9Ac4. It was derived from the PBE geometry in Alexandria, using a wavelength of 1.5418 Å.
Kinematic intensities with the Lorentz-polarization factor, no thermal factor.

Structure:
Unit cell a=10.982 b=10.982 c=12.494 alpha=90.00 beta=90.00 gamma=120.00
Element x y z (fractional)
Sr 0.333 0.667 0.250
Sr 0.667 0.333 0.750
Ca 0.088 0.544 0.750
Ca 0.205 0.411 0.027
Ca 0.205 0.411 0.473
Ca 0.205 0.795 0.027
Ca 0.205 0.795 0.473
Ca 0.411 0.205 0.527
Ca 0.411 0.205 0.973
Ca 0.456 0.544 0.750
Ca 0.456 0.912 0.750
Ca 0.544 0.088 0.250
Ca 0.544 0.456 0.250
Ca 0.589 0.795 0.027
Ca 0.589 0.795 0.473
Ca 0.795 0.205 0.527
Ca 0.795 0.205 0.973
Ca 0.795 0.589 0.527
Ca 0.795 0.589 0.973
Ca 0.912 0.456 0.250
Ac 0.000 0.000 0.000
Ac 0.000 0.000 0.500
Ac 0.109 0.218 0.750
Ac 0.109 0.891 0.750
Ac 0.218 0.109 0.250
Ac 0.782 0.891 0.750
Ac 0.891 0.109 0.250
Ac 0.891 0.782 0.250

Peak list (6 most intense, 2θ from 10° to 90°, most intense first)
2θ 28.7, rel. 100; 2θ 28.5, rel. 58; 2θ 29.1, rel. 53; 2θ 20.0, rel. 39; 2θ 58.4, rel. 29; 2θ 34.8, rel. 24

Entry 5:
The following is a simulated PXRD pattern of Sr2ZnGa2. It was derived from the PBE geometry in Alexandria, using a wavelength of 1.5418 Å.
Kinematic intensities with the Lorentz-polarization factor, no thermal factor.

Structure:
Unit cell a=6.083 b=6.083 c=11.518 alpha=116.17 beta=116.17 gamma=46.03
Element x y z (fractional)
Sr 0.088 0.088 0.389
Sr 0.313 0.313 0.835
Sr 0.687 0.687 0.165
Sr 0.912 0.912 0.611
Zn 0.376 0.376 0.149
Zn 0.624 0.624 0.851
Ga 0.081 0.081 0.942
Ga 0.385 0.385 0.389
Ga 0.615 0.615 0.611
Ga 0.919 0.919 0.058

Peak list (6 most intense, 2θ from 10° to 90°, most intense first)
2θ 30.1, rel. 100; 2θ 30.8, rel. 69; 2θ 38.0, rel. 55; 2θ 37.8, rel. 55; 2θ 33.2, rel. 27; 2θ 35.5, rel. 24